No. 1
Theoretical powder XRD pattern of CaAsSeBr2 for Cu Kα, 1.54184 Å, from a PBE-relaxed structure.
Intensities are scaled so that the largest is 100.

Largest 12 diffraction maxima, sorted by position, 2θ from 10° to 90°:
h k l, 2theta, Rel. int.
0 0 1, 16.3, 33
1 0 0, 17.0, 55
1 1 1, 29.3, 100
0 0 2, 33.0, 55
2 0 0, 34.4, 97
2 0 1, 38.3, 16
2 0 2, 48.4, 72
2 2 0, 49.5, 34
3 1 1, 58.6, 26
2 2 2, 60.8, 36
2 0 4, 79.6, 16
4 0 2, 82.1, 19

Structural model:
```
data_CaAsSeBr2
_symmetry_space_group_name_H-M 'P 4/m m m'
_symmetry_Int_Tables_number 123
_symmetry_space_group_name_Hall '-P 4 2'
_cell_length_a 5.2079
_cell_length_b 5.2079
_cell_length_c 5.4319
_cell_angle_alpha 90.00
_cell_angle_beta 90.00
_cell_angle_gamma 90.00
loop_
_atom_site_label
_atom_site_type_symbol
_atom_site_fract_x
_atom_site_fract_y
_atom_site_fract_z
Ca1 Ca 0.0000 0.0000 0.0000
As1 As 0.5000 0.5000 0.5000
Se1 Se 0.5000 0.5000 0.0000
Br1 Br 0.0000 0.5000 0.5000
```

=====

No. 2
Theoretical powder XRD pattern of CaTeAsBr2 for Cu Kα, 1.54184 Å, from a PBE-relaxed structure.
Intensities are scaled so that the largest is 100.

Largest 12 diffraction maxima, sorted by position, 2θ from 10° to 90°:
h k l, 2theta, Rel. int.
1 0 1, 21.8, 14
1 1 1, 27.6, 100
0 0 2, 28.1, 38
2 0 0, 33.7, 47
2 0 2, 44.5, 42
2 2 0, 48.4, 16
1 1 3, 49.4, 20
3 1 1, 56.7, 26
2 2 2, 57.0, 20
2 0 4, 68.9, 11
3 1 3, 71.7, 13
4 2 2, 87.7, 12

Structural model:
```
data_CaTeAsBr2
_symmetry_space_group_name_H-M 'P 4/m m m'
_symmetry_Int_Tables_number 123
_symmetry_space_group_name_Hall '-P 4 2'
_cell_length_a 5.3146
_cell_length_b 5.3146
_cell_length_c 6.3472
_cell_angle_alpha 90.00
_cell_angle_beta 90.00
_cell_angle_gamma 90.00
loop_
_atom_site_label
_atom_site_type_symbol
_atom_site_fract_x
_atom_site_fract_y
_atom_site_fract_z
Ca1 Ca 0.0000 0.0000 0.0000
Te1 Te 0.5000 0.5000 0.5000
As1 As 0.0000 0.0000 0.5000
Br1 Br 0.0000 0.5000 0.0000
```